No. 1
CaHfTlF7: simulated powder diffraction line list (Cu Kα (weighted mean of Kα1 and Kα2)), based on a DFT-relaxed cell (GGA-PBE, the Materials Project).
Neutral-atom scattering factors, no anomalous dispersion.

Atomic structure:
a = 6.9573 Å, b = 11.3008 Å, c = 8.6043 Å
α = 90.00°, β = 90.00°, γ = 90.00°
Space group Cmcm (No. 63)
Symmetry-distinct sites (fractional):
Ca 0.0000 0.1905 0.2500 [4 per cell]
Hf 0.0000 0.1931 0.7500 [4 per cell]
Tl 0.0000 0.5000 0.0000 [4 per cell]
F 0.0000 0.0124 0.7500 [4 per cell]
F 0.0000 0.2028 0.5159 [8 per cell]
F 0.1747 0.3458 0.7500 [8 per cell]
F 0.2087 0.3576 0.2500 [8 per cell]

Principal peaks in the range 10° ≤ 2θ ≤ 80°, sorted by position:
- 18.18°, d 4.880, I = 36, hkl 1 1 1
- 25.60°, d 3.480, I = 100, hkl 2 0 0
- 26.03°, d 3.423, I = 46, hkl 0 2 2
- 26.92°, d 3.313, I = 54, hkl 1 3 0
- 36.84°, d 2.440, I = 29, hkl 2 2 2
- 42.00°, d 2.151, I = 18, hkl 0 0 4
- 45.13°, d 2.009, I = 21, hkl 3 1 2
- 45.95°, d 1.975, I = 19, hkl 3 3 0
- 47.27°, d 1.923, I = 26, hkl 1 5 2
- 50.60°, d 1.804, I = 19, hkl 1 3 4


No. 2
Na2Ca9NdY5HoF41: simulated powder diffraction line list (Cu Kα (weighted mean of Kα1 and Kα2)), based on a DFT-relaxed cell (GGA-PBE, the Materials Project).
Neutral-atom scattering factors, no anomalous dispersion.

Atomic structure:
a = 9.7767 Å, b = 10.4195 Å, c = 10.4355 Å
α = 110.50°, β = 107.74°, γ = 108.19°
Space group P1 (No. 1)
Symmetry-distinct sites (fractional):
Na 0.0000 0.0000 0.0000 [1 per cell]
Na 0.4343 0.4721 0.7712 [1 per cell]
Ca 0.1202 0.3555 0.9436 [1 per cell]
Ca 0.1829 0.0515 0.4048 [1 per cell]
Ca 0.2793 0.4118 0.3600 [1 per cell]
Ca 0.3918 0.7825 0.3218 [1 per cell]
Ca 0.4873 0.1465 0.2563 [1 per cell]
Ca 0.6120 0.5339 0.2281 [1 per cell]
Ca 0.6582 0.2053 0.6702 [1 per cell]
Ca 0.8212 0.2615 0.0987 [1 per cell]
Ca 0.9758 0.3254 0.5270 [1 per cell]
Nd 0.9138 0.6400 0.0183 [1 per cell]
Y 0.0612 0.6730 0.4488 [1 per cell]
Y 0.2363 0.7159 0.8995 [1 per cell]
Y 0.3807 0.1179 0.8406 [1 per cell]
Y 0.7291 0.5622 0.6139 [1 per cell]
Y 0.8502 0.9395 0.5681 [1 per cell]
Ho 0.7035 0.8929 0.1480 [1 per cell]
F 0.0147 0.4117 0.3539 [1 per cell]
F 0.0684 0.2819 0.1144 [1 per cell]
F 0.1258 0.8391 0.0211 [1 per cell]
F 0.1355 0.7813 0.2891 [1 per cell]
F 0.1422 0.6243 0.6453 [1 per cell]
F 0.1776 0.6199 0.0544 [1 per cell]
F 0.1876 0.2923 0.4956 [1 per cell]
F 0.1969 0.4641 0.7941 [1 per cell]
F 0.2467 0.1470 0.2518 [1 per cell]
F 0.2527 0.9177 0.6089 [1 per cell]
F 0.2808 0.6551 0.4325 [1 per cell]
F 0.3377 0.3138 0.9346 [1 per cell]
F 0.3440 0.9590 0.9326 [1 per cell]
F 0.3652 0.5262 0.2038 [1 per cell]
F 0.3845 0.2025 0.6730 [1 per cell]
F 0.4269 0.0487 0.4172 [1 per cell]
F 0.4530 0.8877 0.1573 [1 per cell]
F 0.4817 0.7369 0.9221 [1 per cell]
F 0.4919 0.5293 0.5987 [1 per cell]
F 0.5144 0.3949 0.3461 [1 per cell]
F 0.5673 0.2652 0.0981 [1 per cell]
F 0.6081 0.1355 0.8465 [1 per cell]
F 0.6244 0.9560 0.5589 [1 per cell]
F 0.6362 0.7969 0.2985 [1 per cell]
F 0.6725 0.7033 0.5016 [1 per cell]
F 0.6747 0.4476 0.7775 [1 per cell]
F 0.6749 0.6367 0.0583 [1 per cell]
F 0.7027 0.3112 0.5122 [1 per cell]
F 0.7310 0.1406 0.2623 [1 per cell]
F 0.7781 0.0152 0.0296 [1 per cell]
F 0.8089 0.7394 0.8527 [1 per cell]
F 0.8218 0.5310 0.4321 [1 per cell]
F 0.8614 0.5245 0.1853 [1 per cell]
F 0.8843 0.3741 0.9369 [1 per cell]
F 0.9005 0.2094 0.6650 [1 per cell]
F 0.9147 0.0522 0.4198 [1 per cell]
F 0.9297 0.8095 0.4055 [1 per cell]
F 0.9401 0.8945 0.1696 [1 per cell]
F 0.9545 0.5562 0.7759 [1 per cell]
F 0.9903 0.0852 0.8215 [1 per cell]
F 0.9936 0.8288 0.6719 [1 per cell]

Principal peaks in the range 10° ≤ 2θ ≤ 80°, sorted by position:
- 10.26°, d 8.625, I = 26, hkl 0 1 0
- 10.79°, d 8.197, I = 32, hkl 1 0 0
- 27.38°, d 3.257, I = 100, hkl -3 1 1
- 27.67°, d 3.224, I = 44, hkl 1 -3 0
- 27.77°, d 3.212, I = 45, hkl 1 2 -3
- 31.92°, d 2.803, I = 32, hkl 2 2 -1
- 45.31°, d 2.001, I = 25, hkl 4 -1 1
- 45.72°, d 1.985, I = 56, hkl 0 3 2
- 45.90°, d 1.977, I = 26, hkl 0 2 -5
- 46.19°, d 1.965, I = 27, hkl 0 5 -3


No. 3
KCaF3: simulated powder diffraction line list (Cu Kα (weighted mean of Kα1 and Kα2)), based on a DFT-relaxed cell (GGA-PBE, the Materials Project).
Neutral-atom scattering factors, no anomalous dispersion.

Atomic structure:
a = 6.2247 Å, b = 8.8741 Å, c = 6.2726 Å
α = 90.00°, β = 90.39°, γ = 90.00°
Space group P2_1/m (No. 11)
Symmetry-distinct sites (fractional):
K 0.9996 0.2500 0.0302 [2 per cell]
K 0.4973 0.2500 0.5245 [2 per cell]
Ca 0.0000 0.0000 0.5000 [2 per cell]
Ca 0.5000 0.0000 0.0000 [2 per cell]
F 0.0647 0.7500 0.5381 [2 per cell]
F 0.2024 0.0424 0.7973 [4 per cell]
F 0.3002 0.0232 0.2992 [4 per cell]
F 0.4310 0.7500 0.9967 [2 per cell]

Principal peaks in the range 10° ≤ 2θ ≤ 80°, sorted by position:
- 28.46°, d 3.136, I = 100, hkl 0 0 2
- 28.56°, d 3.125, I = 72, hkl 1 2 1
- 28.68°, d 3.112, I = 35, hkl 2 0 0
- 35.04°, d 2.561, I = 19, hkl 0 2 2
- 40.68°, d 2.218, I = 98, hkl 0 4 0
- 40.99°, d 2.202, I = 40, hkl 2 0 2
- 50.36°, d 1.812, I = 34, hkl 0 4 2
- 50.56°, d 1.805, I = 55, hkl 3 2 -1
- 50.80°, d 1.797, I = 23, hkl 3 2 1
- 58.89°, d 1.568, I = 33, hkl 2 4 -2


No. 4
KCaF3: simulated powder diffraction line list (Cu Kα (weighted mean of Kα1 and Kα2)), based on a DFT-relaxed cell (GGA-PBE, the Materials Project).
Neutral-atom scattering factors, no anomalous dispersion.

Atomic structure:
a = 4.4817 Å, b = 4.4817 Å, c = 4.4817 Å
α = 90.00°, β = 90.00°, γ = 90.00°
Space group Pm-3m (No. 221)
Symmetry-distinct sites (fractional):
K 0.0000 0.0000 0.0000 [1 per cell]
Ca 0.5000 0.5000 0.5000 [1 per cell]
F 0.0000 0.5000 0.5000 [3 per cell]

Principal peaks in the range 10° ≤ 2θ ≤ 80°, sorted by position:
- 19.81°, d 4.482, I = 15, hkl 1 0 0
- 28.16°, d 3.169, I = 100, hkl 1 1 0
- 34.67°, d 2.588, I = 31, hkl 1 1 1
- 40.24°, d 2.241, I = 89, hkl 2 0 0
- 45.24°, d 2.004, I = 6, hkl 2 1 0
- 49.84°, d 1.830, I = 37, hkl 2 1 1
- 58.23°, d 1.585, I = 50, hkl 2 2 0
- 65.91°, d 1.417, I = 15, hkl 3 1 0
- 69.57°, d 1.351, I = 7, hkl 3 1 1
- 73.15°, d 1.294, I = 15, hkl 2 2 2


No. 5
KCaF3: simulated powder diffraction line list (Cu Kα (weighted mean of Kα1 and Kα2)), based on a DFT-relaxed cell (GGA-PBE, the Materials Project).
Neutral-atom scattering factors, no anomalous dispersion.

Atomic structure:
a = 6.3141 Å, b = 8.8418 Å, c = 6.2094 Å
α = 90.00°, β = 90.00°, γ = 90.00°
Space group Pnma (No. 62)
Symmetry-distinct sites (fractional):
K 0.0384 0.2500 0.0085 [4 per cell]
Ca 0.0000 0.0000 0.5000 [4 per cell]
F 0.0275 0.7500 0.4203 [4 per cell]
F 0.2086 0.5420 0.7929 [8 per cell]

Principal peaks in the range 10° ≤ 2θ ≤ 80°, sorted by position:
- 20.06°, d 4.425, I = 14, hkl 1 0 1
- 28.27°, d 3.157, I = 26, hkl 2 0 0
- 28.53°, d 3.128, I = 100, hkl 1 2 1
- 28.75°, d 3.105, I = 22, hkl 0 0 2
- 33.69°, d 2.660, I = 18, hkl 0 3 1
- 40.78°, d 2.213, I = 96, hkl 0 4 0
- 50.21°, d 1.817, I = 19, hkl 3 2 1
- 50.40°, d 1.811, I = 15, hkl 2 4 0
- 50.81°, d 1.797, I = 33, hkl 1 2 3
- 59.06°, d 1.564, I = 27, hkl 2 4 2


No. 6
NaCaLaF6: simulated powder diffraction line list (Cu Kα (weighted mean of Kα1 and Kα2)), based on a DFT-relaxed cell (GGA-PBE, the Materials Project).
Neutral-atom scattering factors, no anomalous dispersion.

Atomic structure:
a = 6.1683 Å, b = 6.1683 Å, c = 3.7878 Å
α = 90.00°, β = 90.00°, γ = 120.00°
Space group P3 (No. 143)
Symmetry-distinct sites (fractional):
Na 0.0000 0.0000 0.0000 [1 per cell]
Ca 0.3333 0.6667 0.2530 [1 per cell]
La 0.6667 0.3333 0.7383 [1 per cell]
F 0.0830 0.6955 0.7499 [3 per cell]
F 0.3889 0.0809 0.2410 [3 per cell]

Principal peaks in the range 10° ≤ 2θ ≤ 80°, sorted by position:
- 16.60°, d 5.342, I = 76, hkl 1 0 0
- 28.92°, d 3.088, I = 100, hkl 0 1 1
- 33.55°, d 2.671, I = 13, hkl 2 0 0
- 37.61°, d 2.392, I = 26, hkl 2 -1 1
- 41.36°, d 2.183, I = 54, hkl 2 0 1
- 44.89°, d 2.019, I = 12, hkl 1 2 0
- 51.17°, d 1.785, I = 14, hkl 1 0 2
- 51.29°, d 1.781, I = 64, hkl 3 0 0
- 57.11°, d 1.613, I = 11, hkl 1 1 2
- 67.89°, d 1.381, I = 20, hkl 3 -1 2


No. 7
LiCaF3: simulated powder diffraction line list (Cu Kα (weighted mean of Kα1 and Kα2)), based on a DFT-relaxed cell (GGA-PBE, the Materials Project).
Neutral-atom scattering factors, no anomalous dispersion.

Atomic structure:
a = 3.7612 Å, b = 3.7612 Å, c = 3.7612 Å
α = 90.00°, β = 90.00°, γ = 90.00°
Space group Pm-3m (No. 221)
Symmetry-distinct sites (fractional):
Li 0.0000 0.0000 0.0000 [1 per cell]
Ca 0.5000 0.5000 0.5000 [1 per cell]
F 0.0000 0.0000 0.5000 [3 per cell]

Principal peaks in the range 10° ≤ 2θ ≤ 80°, sorted by position:
- 23.65°, d 3.761, I = 11, hkl 1 0 0
- 33.70°, d 2.660, I = 23, hkl 1 1 0
- 41.59°, d 2.172, I = 100, hkl 1 1 1
- 48.40°, d 1.881, I = 55, hkl 2 0 0
- 54.56°, d 1.682, I = 5, hkl 2 1 0
- 60.27°, d 1.536, I = 9, hkl 2 1 1
- 70.86°, d 1.330, I = 28, hkl 2 2 0
- 75.89°, d 1.254, I = 2, hkl 3 0 0


No. 8
LiCaUF8: simulated powder diffraction line list (Cu Kα (weighted mean of Kα1 and Kα2)), based on a DFT-relaxed cell (GGA-PBE, the Materials Project).
Neutral-atom scattering factors, no anomalous dispersion.

Atomic structure:
a = 5.3044 Å, b = 5.3044 Å, c = 11.0037 Å
α = 90.00°, β = 90.00°, γ = 90.00°
Space group I-4 (No. 82)
Symmetry-distinct sites (fractional):
Li 0.0000 0.0000 0.0000 [2 per cell]
Ca 0.0000 0.5000 0.7500 [2 per cell]
U 0.0000 0.0000 0.5000 [2 per cell]
F 0.1649 0.2075 0.3482 [8 per cell]
F 0.1749 0.7195 0.9231 [8 per cell]

Principal peaks in the range 10° ≤ 2θ ≤ 80°, sorted by position:
- 16.11°, d 5.502, I = 27, hkl 0 0 2
- 18.57°, d 4.778, I = 100, hkl 1 0 1
- 23.72°, d 3.751, I = 19, hkl 1 1 0
- 28.81°, d 3.099, I = 46, hkl 1 1 2
- 29.61°, d 3.017, I = 22, hkl 1 0 3
- 38.83°, d 2.319, I = 32, hkl 1 2 1
- 40.67°, d 2.218, I = 11, hkl 1 1 4
- 45.54°, d 1.992, I = 24, hkl 2 1 3
- 47.63°, d 1.909, I = 18, hkl 2 0 4
- 57.43°, d 1.604, I = 16, hkl 3 1 2


No. 9
NaCa2LuSi2O7F2: simulated powder diffraction line list (Cu Kα (weighted mean of Kα1 and Kα2)), based on a DFT-relaxed cell (GGA-PBE, the Materials Project).
Neutral-atom scattering factors, no anomalous dispersion.

Atomic structure:
a = 9.2784 Å, b = 9.4298 Å, c = 10.1961 Å
α = 95.67°, β = 92.08°, γ = 108.44°
Space group P1 (No. 1)
Symmetry-distinct sites (fractional):
Na 0.0000 0.0000 0.0000 [1 per cell]
Na 0.0679 0.5015 0.3863 [1 per cell]
Na 0.5147 0.7662 0.4713 [1 per cell]
Na 0.6749 0.0964 0.1345 [1 per cell]
Ca 0.1409 0.2273 0.5600 [1 per cell]
Ca 0.2611 0.8858 0.8667 [1 per cell]
Ca 0.4088 0.4002 0.0773 [1 per cell]
Ca 0.5254 0.2564 0.8310 [1 per cell]
Ca 0.6968 0.1855 0.5008 [1 per cell]
Ca 0.7060 0.9287 0.7696 [1 per cell]
Ca 0.7283 0.5559 0.6286 [1 per cell]
Ca 0.7486 0.5364 0.2950 [1 per cell]
Lu 0.2839 0.9936 0.2702 [1 per cell]
Lu 0.7358 0.6946 0.9945 [1 per cell]
Lu 0.8716 0.3958 0.9432 [1 per cell]
Lu 0.8770 0.9094 0.3661 [1 per cell]
Si 0.0098 0.6658 0.1363 [1 per cell]
Si 0.0582 0.7391 0.5855 [1 per cell]
Si 0.0738 0.2118 0.2479 [1 per cell]
Si 0.1464 0.3314 0.8333 [1 per cell]
Si 0.2908 0.9983 0.5605 [1 per cell]
Si 0.3849 0.3688 0.3655 [1 per cell]
Si 0.4244 0.5951 0.8110 [1 per cell]
Si 0.4525 0.7842 0.0854 [1 per cell]
O 0.0005 0.2406 0.3838 [1 per cell]
O 0.0072 0.8229 0.7407 [1 per cell]
O 0.0760 0.0385 0.2180 [1 per cell]
O 0.1188 0.9756 0.4854 [1 per cell]
O 0.1375 0.4009 0.9773 [1 per cell]
O 0.1849 0.7696 0.1769 [1 per cell]
O 0.2326 0.3482 0.2329 [1 per cell]
O 0.2448 0.8441 0.6424 [1 per cell]
O 0.2761 0.4395 0.7482 [1 per cell]
O 0.3020 0.2008 0.3993 [1 per cell]
O 0.3497 0.1504 0.6603 [1 per cell]
O 0.3624 0.7017 0.9269 [1 per cell]
O 0.4084 0.9720 0.4514 [1 per cell]
O 0.5159 0.3845 0.2647 [1 per cell]
O 0.5202 0.6953 0.7063 [1 per cell]
O 0.5290 0.5172 0.8913 [1 per cell]
O 0.5304 0.6638 0.1331 [1 per cell]
O 0.6670 0.3382 0.0291 [1 per cell]
O 0.7124 0.0114 0.3535 [1 per cell]
O 0.7323 0.9063 0.9819 [1 per cell]
O 0.7387 0.3673 0.7588 [1 per cell]
O 0.7484 0.7269 0.4552 [1 per cell]
O 0.8450 0.7648 0.7750 [1 per cell]
O 0.8799 0.7484 0.1871 [1 per cell]
O 0.8985 0.1357 0.6670 [1 per cell]
O 0.9564 0.5015 0.1857 [1 per cell]
O 0.9590 0.6409 0.9746 [1 per cell]
O 0.9819 0.2887 0.7408 [1 per cell]
F 0.0555 0.5730 0.6448 [1 per cell]
F 0.1605 0.1616 0.8365 [1 per cell]
F 0.3075 0.0836 0.0377 [1 per cell]
F 0.3307 0.5119 0.4380 [1 per cell]
F 0.5073 0.0081 0.8301 [1 per cell]
F 0.5151 0.4083 0.5091 [1 per cell]
F 0.8052 0.4175 0.4558 [1 per cell]
F 0.9519 0.2056 0.1184 [1 per cell]

Principal peaks in the range 10° ≤ 2θ ≤ 80°, sorted by position:
- 10.08°, d 8.780, I = 43, hkl 1 0 0
- 11.67°, d 7.582, I = 63, hkl 1 -1 0
- 12.47°, d 7.099, I = 100, hkl 0 1 -1
- 17.56°, d 5.049, I = 46, hkl 0 0 2
- 20.88°, d 4.254, I = 44, hkl 1 0 2
- 25.96°, d 3.432, I = 43, hkl 2 1 -1
- 28.55°, d 3.126, I = 43, hkl 1 -1 3
- 29.04°, d 3.075, I = 74, hkl 1 -3 1
- 29.96°, d 2.982, I = 54, hkl -2 2 2
- 30.72°, d 2.911, I = 63, hkl 3 -2 0


No. 10
NaCaMg2F7: simulated powder diffraction line list (Cu Kα (weighted mean of Kα1 and Kα2)), based on a DFT-relaxed cell (GGA-PBE, the Materials Project).
Neutral-atom scattering factors, no anomalous dispersion.

Atomic structure:
a = 7.2261 Å, b = 7.4736 Å, c = 10.3752 Å
α = 90.00°, β = 90.00°, γ = 90.00°
Space group Imma (No. 74)
Symmetry-distinct sites (fractional):
Na 0.2500 0.2500 0.2500 [4 per cell]
Ca 0.0000 0.0000 0.0000 [4 per cell]
Mg 0.0000 0.0000 0.5000 [4 per cell]
Mg 0.2500 0.2500 0.7500 [4 per cell]
F 0.0000 0.2500 0.1186 [4 per cell]
F 0.0000 0.2500 0.4282 [4 per cell]
F 0.0000 0.2500 0.8316 [4 per cell]
F 0.2093 0.0523 0.6222 [16 per cell]

Principal peaks in the range 10° ≤ 2θ ≤ 80°, sorted by position:
- 29.46°, d 3.032, I = 80, hkl 0 2 2
- 30.14°, d 2.965, I = 78, hkl 2 0 2
- 37.56°, d 2.395, I = 23, hkl 1 2 3
- 37.97°, d 2.369, I = 14, hkl 2 1 3
- 44.84°, d 2.021, I = 12, hkl 0 3 3
- 48.74°, d 1.868, I = 25, hkl 0 4 0
- 49.67°, d 1.835, I = 100, hkl 2 2 4
- 50.52°, d 1.807, I = 26, hkl 4 0 0
- 58.38°, d 1.581, I = 22, hkl 2 4 2
- 59.57°, d 1.552, I = 19, hkl 4 2 2